[1]
Pr3SnRh4: theoretical X-ray diffraction stick pattern (Cu Kα (weighted mean of Kα1 and Kα2)), based on a PBE-relaxed structure.
Lines closer than 0.1° are merged.

Peak list (10 most intense, 2θ from 15° to 90°, in order of rising 2θ)
28.77°, I = 1000; 32.07°, I = 178; 35.02°, I = 240; 36.08°, I = 458; 37.51°, I = 852; 40.97°, I = 395; 44.52°, I = 312; 51.93°, I = 203; 59.59°, I = 269; 70.83°, I = 205

Cell lengths 4.070, 6.048, 15.731 Å; angles 90.00, 90.00, 90.00 degrees
Fractional positions:
Pr  0.000  0.000  0.000
Pr  0.000  0.500  0.195
Pr  0.000  0.500  0.805
Pr  0.500  0.000  0.305
Pr  0.500  0.000  0.695
Pr  0.500  0.500  0.500
Sn  0.000  0.000  0.500
Sn  0.500  0.500  0.000
Rh  0.000  0.285  0.377
Rh  0.000  0.285  0.623
Rh  0.000  0.715  0.377
Rh  0.000  0.715  0.623
Rh  0.500  0.215  0.123
Rh  0.500  0.215  0.877
Rh  0.500  0.785  0.123
Rh  0.500  0.785  0.877

=====

[2]
KRb3Na2: theoretical X-ray diffraction stick pattern (Cu Kα (weighted mean of Kα1 and Kα2)), based on a PBE-relaxed structure.
Lines closer than 0.1° are merged.

Peak list (10 most intense, 2θ from 15° to 90°, in order of rising 2θ)
17.15°, I = 262; 17.52°, I = 132; 24.35°, I = 498; 24.61°, I = 1000; 30.16°, I = 129; 34.70°, I = 181; 35.48°, I = 97; 43.01°, I = 388; 43.49°, I = 201; 50.47°, I = 119

Cell lengths 7.309, 21.947, 5.061 Å; angles 90.00, 90.00, 90.00 degrees
Fractional positions:
K  0.000  0.000  0.000
K  0.500  0.500  0.000
Rb  0.000  0.180  0.500
Rb  0.000  0.500  0.500
Rb  0.000  0.820  0.500
Rb  0.500  0.000  0.500
Rb  0.500  0.320  0.500
Rb  0.500  0.680  0.500
Na  0.000  0.343  0.000
Na  0.000  0.657  0.000
Na  0.500  0.157  0.000
Na  0.500  0.843  0.000